(1)
For Nd3Ga4Pt7, a structure optimized by DFT (PBE) gives the computed PXRD pattern in this record (a wavelength of 1.5418 Å).
Lines closer than 0.1° are merged.

Structure:
a = 8.399 Å, b = 8.399 Å, c = 9.412 Å
α = 123.67°, β = 123.67°, γ = 29.48°
Fractional positions:
1 Nd 0.000 0.000 0.000
2 Nd 0.327 0.327 0.338
3 Nd 0.673 0.673 0.662
4 Ga 0.126 0.126 0.851
5 Ga 0.321 0.321 0.681
6 Ga 0.679 0.679 0.319
7 Ga 0.874 0.874 0.149
8 Pt 0.000 0.000 0.500
9 Pt 0.130 0.130 0.394
10 Pt 0.307 0.307 0.937
11 Pt 0.491 0.491 0.261
12 Pt 0.509 0.509 0.739
13 Pt 0.693 0.693 0.063
14 Pt 0.870 0.870 0.606

The 8 most intense peaks (2θ = 15–90°), sorted by position:
two_theta  I (rel.)
26.55  23.5
34.74  100.0
34.91  68.6
38.14  26.1
39.90  32.5
40.64  39.5
42.29  54.6
60.14  23.7

***

(2)
For NdGa2Pt8, a structure optimized by DFT (PBE) gives the computed PXRD pattern in this record (a wavelength of 1.5418 Å).
Lines closer than 0.1° are merged.

Structure:
a = 5.356 Å, b = 5.356 Å, c = 8.183 Å
α = 90.00°, β = 90.00°, γ = 90.00°
Fractional positions:
1 Nd 0.000 0.000 0.000
2 Ga 0.000 0.500 0.500
3 Ga 0.500 0.000 0.500
4 Pt 0.253 0.253 0.283
5 Pt 0.253 0.253 0.717
6 Pt 0.253 0.747 0.283
7 Pt 0.253 0.747 0.717
8 Pt 0.747 0.253 0.283
9 Pt 0.747 0.253 0.717
10 Pt 0.747 0.747 0.283
11 Pt 0.747 0.747 0.717

The 8 most intense peaks (2θ = 15–90°), sorted by position:
two_theta  I (rel.)
21.72  51.9
33.46  43.9
40.24  100.0
47.58  17.2
48.04  34.9
53.30  19.4
67.01  14.4
84.24  24.4